Diffraction record for Sm3ZnS2. The powder XRD pattern is computed, not measured: it uses a cell relaxed with PBE and Cu Kα, 1.54184 Å.
Kinematic intensities with the Lorentz-polarization factor, no thermal factor.

Structural model:
Lattice parameters (Å, degrees): 3.994 5.768 12.509 90.00 90.00 90.00
Space group Immm (No. 71)
One atom of each set of equivalent atoms:
Sm 0.000 0.000 0.000 [2 per cell]
Sm 0.000 0.000 0.323 [4 per cell]
Zn 0.000 0.500 0.000 [2 per cell]
S 0.000 0.500 0.336 [4 per cell]

Peak list (10 most intense, 2θ = 5–70°, low angle first)
26.4 deg, intensity 27, hkl 0 1 3; 27.2 deg, intensity 26, hkl 1 1 0; 31.0 deg, intensity 100, hkl 0 2 0; 43.4 deg, intensity 12, hkl 0 0 6; 44.4 deg, intensity 48, hkl 1 2 3; 45.4 deg, intensity 12, hkl 2 0 0; 53.3 deg, intensity 8, hkl 2 1 3; 54.3 deg, intensity 13, hkl 0 2 6; 56.0 deg, intensity 12, hkl 2 2 0; 64.6 deg, intensity 11, hkl 0 4 0